Structure and calculated powder diffractogram of Tb4Dy19Sc6 (a crystal structure in Alexandria, relaxed with PBE; Cu Ka).

Peak list (10 most intense, 5 to 70 degrees two-theta, low angle first)
- (3 1 2), 2θ = 27.22°, I = 18
- (4 0 0), 2θ = 29.14°, I = 38
- (3 3 0), 2θ = 30.95°, I = 100
- (3 3 2), 2θ = 34.32°, I = 15
- (4 2 2), 2θ = 35.89°, I = 18
- (4 1 3), 2θ = 37.41°, I = 33
- (4 4 0), 2θ = 41.68°, I = 15
- (7 0 1), 2θ = 52.81°, I = 16
- (6 3 3), 2θ = 55.06°, I = 24
- (7 4 1), 2θ = 61.46°, I = 20

Crystal structure
a = 12.2569 Å, b = 12.2569 Å, c = 12.2569 Å
α = 90.00°, β = 90.00°, γ = 90.00°
Space group I23 (No. 197)
Inequivalent atoms, fractional coordinates:
Tb (0.1793, 0.1793, 0.8207) [8 per cell]
Dy (0.0000, 0.0000, 0.0000) [2 per cell]
Dy (0.0000, 0.0000, 0.2656) [12 per cell]
Dy (0.0582, 0.2739, 0.2815) [24 per cell]
Sc (0.0000, 0.3829, 0.5000) [12 per cell]